(1)
Theoretical PXRD pattern of RbMnBi for Cu Ka, from a structure optimized by DFT (PBE).

Structure:
Cell lengths 4.8710, 4.8710, 8.8324 Å; angles 90.00, 90.00, 90.00 degrees
Sites, in units of the cell vectors:
Rb 0.2500 0.2500 0.1572
Rb 0.7500 0.7500 0.8428
Mn 0.2500 0.7500 0.5000
Mn 0.7500 0.2500 0.5000
Bi 0.2500 0.2500 0.6812
Bi 0.7500 0.7500 0.3188

Largest 10 diffraction maxima, by angle, 2θ = 15–90°:
two_theta, intensity
20.8, 43
25.9, 56
27.3, 100
33.0, 55
36.9, 49
40.3, 19
45.1, 33
46.5, 47
53.2, 17
59.6, 29

(2)
Theoretical PXRD pattern of Ca4In2N for Cu Ka, from a structure optimized by DFT (PBE).

Structure:
Cell lengths 14.9890, 14.9890, 14.9890 Å; angles 161.05, 161.05, 26.93 degrees
Sites, in units of the cell vectors:
Ca 0.0438 0.7938 0.2500
Ca 0.1242 0.3742 0.7500
Ca 0.2062 0.9562 0.2500
Ca 0.3742 0.1242 0.2500
Ca 0.6258 0.8758 0.7500
Ca 0.7938 0.0438 0.7500
Ca 0.8758 0.6258 0.2500
Ca 0.9562 0.2062 0.7500
In 0.2845 0.5345 0.7500
In 0.4655 0.7155 0.7500
In 0.5345 0.2845 0.2500
In 0.7155 0.4655 0.2500
N 0.1250 0.8750 0.2500
N 0.8750 0.1250 0.7500

Largest 10 diffraction maxima, by angle, 2θ = 15–90°:
two_theta, intensity
18.2, 14
23.6, 20
31.6, 100
36.4, 40
37.0, 16
38.5, 8
52.4, 13
52.9, 21
62.5, 26
65.9, 11

(3)
Theoretical PXRD pattern of TiBe12 for Cu Ka, from a structure optimized by DFT (PBE).

Structure:
Cell lengths 4.2288, 4.2288, 7.3291 Å; angles 90.00, 90.00, 120.00 degrees
Sites, in units of the cell vectors:
Ti 0.0000 0.0000 0.0000
Be 0.0000 0.0000 0.3475
Be 0.0000 0.0000 0.6525
Be 0.0000 0.5000 0.2406
Be 0.0000 0.5000 0.7594
Be 0.3333 0.6667 0.0000
Be 0.3333 0.6667 0.5000
Be 0.5000 0.0000 0.2406
Be 0.5000 0.0000 0.7594
Be 0.5000 0.5000 0.2406
Be 0.5000 0.5000 0.7594
Be 0.6667 0.3333 0.0000
Be 0.6667 0.3333 0.5000

Largest 10 diffraction maxima, by angle, 2θ = 15–90°:
two_theta, intensity
24.3, 52
27.2, 82
34.6, 51
42.8, 37
44.6, 67
49.8, 100
57.7, 21
73.1, 19
79.6, 22
83.4, 18

(4)
Theoretical PXRD pattern of KNdHf2O6 for Cu Ka, from a structure optimized by DFT (PBE).

Structure:
Cell lengths 5.8294, 5.8294, 5.8294 Å; angles 60.00, 60.00, 60.00 degrees
Sites, in units of the cell vectors:
K 0.0000 0.0000 0.0000
Nd 0.5000 0.5000 0.5000
Hf 0.2500 0.2500 0.2500
Hf 0.7500 0.7500 0.7500
O 0.0000 0.0000 0.5000
O 0.0000 0.5000 0.0000
O 0.0000 0.5000 0.5000
O 0.5000 0.0000 0.0000
O 0.5000 0.0000 0.5000
O 0.5000 0.5000 0.0000

Largest 10 diffraction maxima, by angle, 2θ = 15–90°:
two_theta, intensity
18.6, 9
21.6, 19
30.7, 100
43.9, 29
49.4, 8
54.5, 41
63.9, 18
72.5, 18
80.8, 6
88.8, 22

(5)
Theoretical PXRD pattern of ZrPt for Cu Ka, from a structure optimized by DFT (PBE).

Structure:
Cell lengths 5.4982, 5.4982, 4.3438 Å; angles 90.00, 90.00, 143.57 degrees
Sites, in units of the cell vectors:
Zr 0.1412 0.8588 0.7500
Zr 0.8588 0.1412 0.2500
Pt 0.4085 0.5915 0.7500
Pt 0.5915 0.4085 0.2500

Largest 10 diffraction maxima, by angle, 2θ = 15–90°:
two_theta, intensity
26.7, 15
27.3, 22
34.4, 100
40.3, 25
41.6, 28
42.4, 71
53.3, 14
55.0, 14
69.8, 12
76.4, 13

(6)
Theoretical PXRD pattern of Tm2MnS4 for Cu Ka, from a structure optimized by DFT (PBE).

Structure:
Cell lengths 7.1052, 7.1052, 7.1052 Å; angles 110.62, 110.62, 107.20 degrees
Sites, in units of the cell vectors:
Tm 0.0119 0.1250 0.3869
Tm 0.3750 0.9881 0.1131
Tm 0.7381 0.6250 0.6131
Tm 0.8750 0.2619 0.8869
Mn 0.2500 0.7500 0.5000
Mn 0.5000 0.5000 0.0000
S 0.0152 0.7493 0.1335
S 0.1183 0.9848 0.7341
S 0.1342 0.5007 0.7659
S 0.2507 0.3842 0.2659
S 0.4993 0.2652 0.6335
S 0.6158 0.8817 0.8665
S 0.6317 0.8658 0.3665
S 0.7348 0.3683 0.2341

Largest 10 diffraction maxima, by angle, 2θ = 15–90°:
two_theta, intensity
22.0, 27
26.3, 79
26.8, 100
33.8, 40
34.9, 46
35.1, 67
40.6, 54
41.7, 41
50.0, 28
52.2, 33

(7)
Theoretical PXRD pattern of TaRu for Cu Ka, from a structure optimized by DFT (PBE).

Structure:
Cell lengths 3.0679, 3.0679, 3.4167 Å; angles 90.00, 90.00, 90.00 degrees
Sites, in units of the cell vectors:
Ta 0.0000 0.0000 0.0000
Ru 0.5000 0.5000 0.5000

Largest 10 diffraction maxima, by angle, 2θ = 15–90°:
two_theta, intensity
26.1, 5
29.1, 8
39.5, 100
41.6, 43
49.8, 4
53.7, 10
60.3, 14
70.1, 18
74.5, 31
85.0, 11

(8)
Theoretical PXRD pattern of PrCr2B6 for Cu Ka, from a structure optimized by DFT (PBE).

Structure:
Cell lengths 5.5463, 5.5463, 5.5463 Å; angles 147.41, 107.06, 82.18 degrees
Sites, in units of the cell vectors:
Pr 0.0000 0.0000 0.0000
Cr 0.3461 0.8461 0.5000
Cr 0.6539 0.1539 0.5000
B 0.0674 0.3022 0.7652
B 0.3616 0.5000 0.8616
B 0.4630 0.6978 0.7652
B 0.5370 0.3022 0.2348
B 0.6384 0.5000 0.1384
B 0.9326 0.6978 0.2348

Largest 10 diffraction maxima, by angle, 2θ = 15–90°:
two_theta, intensity
17.1, 41
27.0, 77
30.7, 76
34.7, 28
35.0, 99
38.6, 93
41.3, 100
53.1, 32
54.7, 49
55.7, 42